[1]
The following is a simulated powder XRD pattern of Cu2SO4. It was derived from a structure optimized by DFT (PBE), using CuKα.
Lines closer than 0.1° are merged.

Principal peaks in the range 2θ = 10–80°, by angle:
| two_theta | intensity |
| --- | --- |
| 27.57 | 100 |
| 32.96 | 18 |
| 36.67 | 25 |
| 40.99 | 15 |
| 42.64 | 18 |
| 49.83 | 15 |

Crystal structure
Unit cell a=4.606 b=5.903 c=7.852 alpha=83.43 beta=72.94 gamma=67.04
Sites, in units of the cell vectors:
Cu: 0.000 0.000 0.000
Cu: 0.141 0.490 0.717
Cu: 0.395 0.986 0.212
Cu: 0.752 0.485 0.505
S: 0.451 0.488 0.112
S: 0.686 0.991 0.611
O: 0.244 0.651 0.995
O: 0.283 0.334 0.232
O: 0.368 0.149 0.722
O: 0.489 0.651 0.233
O: 0.654 0.842 0.485
O: 0.773 0.333 0.994
O: 0.860 0.144 0.487
O: 0.903 0.832 0.731


[2]
The following is a simulated powder XRD pattern of Cu5S2O18. It was derived from a structure optimized by DFT (PBE), using CuKα.
Lines closer than 0.1° are merged.

Principal peaks in the range 2θ = 10–80°, by angle:
| two_theta | intensity |
| --- | --- |
| 15.74 | 100 |
| 17.83 | 18 |
| 22.89 | 22 |
| 23.70 | 42 |
| 34.24 | 22 |
| 41.39 | 17 |

Crystal structure
Unit cell a=5.398 b=5.771 c=11.591 alpha=85.62 beta=77.01 gamma=89.26
Sites, in units of the cell vectors:
Cu: 0.000 0.000 0.000
Cu: 0.000 0.000 0.500
Cu: 0.000 0.500 0.000
Cu: 0.497 0.750 0.001
Cu: 0.503 0.250 0.999
S: 0.299 0.325 0.713
S: 0.701 0.675 0.287
O: 0.087 0.487 0.697
O: 0.128 0.706 0.511
O: 0.136 0.762 0.914
O: 0.245 0.099 0.379
O: 0.258 0.264 0.845
O: 0.283 0.113 0.651
O: 0.289 0.487 0.065
O: 0.289 0.996 0.064
O: 0.452 0.560 0.331
O: 0.548 0.440 0.669
O: 0.711 0.004 0.936
O: 0.711 0.513 0.935
O: 0.717 0.887 0.349
O: 0.742 0.736 0.155
O: 0.755 0.901 0.621
O: 0.864 0.238 0.086
O: 0.872 0.294 0.489
O: 0.913 0.513 0.303


[3]
The following is a simulated powder XRD pattern of CuSO4. It was derived from a structure optimized by DFT (PBE), using CuKα.
Lines closer than 0.1° are merged.

Principal peaks in the range 2θ = 10–80°, by angle:
| two_theta | intensity |
| --- | --- |
| 20.76 | 100 |
| 24.63 | 97 |
| 33.81 | 87 |
| 33.94 | 80 |
| 36.60 | 72 |
| 50.49 | 43 |

Crystal structure
Unit cell a=8.479 b=6.754 c=4.957 alpha=90.00 beta=90.00 gamma=90.00
Sites, in units of the cell vectors:
Cu: 0.000 0.000 0.000
Cu: 0.000 0.500 0.000
Cu: 0.500 0.000 0.500
Cu: 0.500 0.500 0.500
S: 0.182 0.250 0.448
S: 0.318 0.750 0.948
S: 0.682 0.250 0.052
S: 0.818 0.750 0.552
O: 0.131 0.066 0.309
O: 0.131 0.250 0.730
O: 0.131 0.434 0.309
O: 0.136 0.750 0.930
O: 0.364 0.250 0.430
O: 0.369 0.566 0.809
O: 0.369 0.750 0.230
O: 0.369 0.934 0.809
O: 0.631 0.066 0.191
O: 0.631 0.250 0.770
O: 0.631 0.434 0.191
O: 0.636 0.750 0.570
O: 0.864 0.250 0.070
O: 0.869 0.566 0.691
O: 0.869 0.750 0.270
O: 0.869 0.934 0.691


[4]
The following is a simulated powder XRD pattern of Cu2SO5. It was derived from a structure optimized by DFT (PBE), using CuKα.
Lines closer than 0.1° are merged.

Principal peaks in the range 2θ = 10–80°, by angle:
| two_theta | intensity |
| --- | --- |
| 13.52 | 75 |
| 23.85 | 77 |
| 32.26 | 39 |
| 33.74 | 100 |
| 34.23 | 28 |
| 39.32 | 29 |

Crystal structure
Unit cell a=5.730 b=5.730 c=7.859 alpha=117.26 beta=117.26 gamma=68.10
Sites, in units of the cell vectors:
Cu: 0.000 0.500 0.000
Cu: 0.080 0.080 0.219
Cu: 0.500 0.000 0.000
Cu: 0.920 0.920 0.781
S: 0.404 0.404 0.686
S: 0.596 0.596 0.314
O: 0.149 0.149 0.018
O: 0.291 0.675 0.245
O: 0.300 0.300 0.770
O: 0.305 0.305 0.460
O: 0.325 0.709 0.755
O: 0.675 0.291 0.245
O: 0.695 0.695 0.540
O: 0.700 0.700 0.230
O: 0.709 0.325 0.755
O: 0.851 0.851 0.982